[1]
For LiTl3, a DFT-relaxed cell (GGA-PBE, the Materials Project) gives the computed PXRD pattern in this record (copper Kα).
Lines closer than 0.1° are merged.

Most intense lines, 2θ = 5–70°, in order of rising 2θ:
2θ (°), intensity
17.7, 111
20.9, 303
32.3, 1000
35.8, 191
38.3, 318
53.4, 248
55.3, 112
62.1, 158
65.5, 271
67.6, 123

Structure:
```
data_LiTl3
_chemical_formula_sum 'Li2 Tl6'
_cell_length_a 4.702
_cell_length_b 4.702
_cell_length_c 10.034
_cell_angle_alpha 90.00
_cell_angle_beta 90.00
_cell_angle_gamma 90.00
_symmetry_space_group_name_H-M 'I 4/m m m'
_symmetry_Int_Tables_number 139
_symmetry_space_group_name_Hall '-I 4 2'
loop_
_atom_site_label
_atom_site_type_symbol
_atom_site_fract_x
_atom_site_fract_y
_atom_site_fract_z
_atom_site_occupancy
Li1 Li 0.000 0.000 0.000 1
Tl1 Tl 0.000 0.000 0.500 1
Tl2 Tl 0.000 0.500 0.250 1
```



[2]
For Rb2AgMoCl6, a DFT-relaxed cell (GGA-PBE, the Materials Project) gives the computed PXRD pattern in this record (copper Kα).
Lines closer than 0.1° are merged.

Most intense lines, 2θ = 5–70°, in order of rising 2θ:
2θ (°), intensity
17.0, 162
24.2, 1000
29.7, 131
34.5, 724
38.7, 65
42.5, 440
49.5, 474
55.8, 208
61.7, 155
67.3, 232

Structure:
```
data_Rb2AgMoCl6
_chemical_formula_sum 'Rb8 Ag4 Mo4 Cl24'
_cell_length_a 10.413
_cell_length_b 10.413
_cell_length_c 10.413
_cell_angle_alpha 90.00
_cell_angle_beta 90.00
_cell_angle_gamma 90.00
_symmetry_space_group_name_H-M 'F m -3 m'
_symmetry_Int_Tables_number 225
_symmetry_space_group_name_Hall '-F 4 2 3'
loop_
_atom_site_label
_atom_site_type_symbol
_atom_site_fract_x
_atom_site_fract_y
_atom_site_fract_z
_atom_site_occupancy
Rb1 Rb 0.250 0.250 0.250 1
Ag1 Ag 0.000 0.000 0.000 1
Mo1 Mo 0.000 0.000 0.500 1
Cl1 Cl 0.000 0.000 0.263 1
```